Record 1
Structure and computed X-ray diffraction stick pattern of LaY4Sb5 (a PBE-relaxed structure; Cu Kα, 1.54184 Å).
Lines closer than 0.1° are merged.

Main lines, low angle first (5° ≤ 2θ ≤ 70°):
Position (°2θ), I/Imax
24.6, 2
28.4, 100
29.4, 1
40.6, 75
48.1, 1
50.3, 26
58.7, 4
58.9, 8
66.6, 22
66.7, 11

```
data_LaY4Sb5
_space_group_name_H-M_alt 'P 1'
_space_group_IT_number 1
_cell_length_a 11.7356
_cell_length_b 11.7356
_cell_length_c 11.7356
_cell_angle_alpha 158.20
_cell_angle_beta 148.93
_cell_angle_gamma 38.28
loop_
_space_group_symop_operation_xyz
'x,y,z'
loop_
_atom_site_label
_atom_site_type_symbol
_atom_site_fract_x
_atom_site_fract_y
_atom_site_fract_z
La1 La 0.0000 0.0000 0.0000
Y1 Y 0.2026 0.2026 0.0000
Y2 Y 0.3993 0.3993 0.0000
Y3 Y 0.6007 0.6007 0.0000
Y4 Y 0.7974 0.7974 0.0000
Sb1 Sb 0.1049 0.6049 0.5000
Sb2 Sb 0.3007 0.8007 0.5000
Sb3 Sb 0.5000 0.0000 0.5000
Sb4 Sb 0.6993 0.1993 0.5000
Sb5 Sb 0.8951 0.3951 0.5000
```

=====

Record 2
Structure and computed X-ray diffraction stick pattern of LaY3Sb2 (a PBE-relaxed structure; Cu Kα, 1.54184 Å).
Lines closer than 0.1° are merged.

Main lines, low angle first (5° ≤ 2θ ≤ 70°):
Position (°2θ), I/Imax
28.3, 50
29.7, 46
30.3, 71
31.5, 100
33.2, 46
33.8, 39
34.5, 38
34.9, 70
37.2, 35
40.7, 57

```
data_LaY3Sb2
_space_group_name_H-M_alt 'P 1'
_space_group_IT_number 1
_cell_length_a 9.5323
_cell_length_b 9.5323
_cell_length_c 9.7507
_cell_angle_alpha 113.02
_cell_angle_beta 113.02
_cell_angle_gamma 26.87
loop_
_space_group_symop_operation_xyz
'x,y,z'
loop_
_atom_site_label
_atom_site_type_symbol
_atom_site_fract_x
_atom_site_fract_y
_atom_site_fract_z
La1 La 0.1111 0.1111 0.1246
La2 La 0.8889 0.8889 0.8754
Y1 Y 0.0582 0.0582 0.6769
Y2 Y 0.3112 0.3112 0.1087
Y3 Y 0.3553 0.3553 0.5222
Y4 Y 0.6447 0.6447 0.4778
Y5 Y 0.6888 0.6888 0.8913
Y6 Y 0.9418 0.9418 0.3231
Sb1 Sb 0.2444 0.2444 0.7156
Sb2 Sb 0.4882 0.4882 0.1583
Sb3 Sb 0.5118 0.5118 0.8417
Sb4 Sb 0.7556 0.7556 0.2844
```

=====

Record 3
Structure and computed X-ray diffraction stick pattern of La2ZnSb4 (a PBE-relaxed structure; Cu Kα, 1.54184 Å).
Lines closer than 0.1° are merged.

Main lines, low angle first (5° ≤ 2θ ≤ 70°):
Position (°2θ), I/Imax
26.3, 18
26.6, 22
29.6, 31
33.2, 28
33.4, 100
40.4, 46
49.2, 20
58.5, 15
65.5, 17
69.1, 24

```
data_La2ZnSb4
_space_group_name_H-M_alt 'P 1'
_space_group_IT_number 1
_cell_length_a 4.4622
_cell_length_b 4.4622
_cell_length_c 10.1697
_cell_angle_alpha 90.00
_cell_angle_beta 90.00
_cell_angle_gamma 90.00
loop_
_space_group_symop_operation_xyz
'x,y,z'
loop_
_atom_site_label
_atom_site_type_symbol
_atom_site_fract_x
_atom_site_fract_y
_atom_site_fract_z
La1 La 0.0000 0.5000 0.2476
La2 La 0.5000 0.0000 0.7524
Zn1 Zn 0.5000 0.5000 0.0000
Sb1 Sb 0.0000 0.0000 0.5000
Sb2 Sb 0.0000 0.5000 0.8491
Sb3 Sb 0.5000 0.0000 0.1509
Sb4 Sb 0.5000 0.5000 0.5000
```

=====

Record 4
Structure and computed X-ray diffraction stick pattern of La6Zn5Sb (a PBE-relaxed structure; Cu Kα, 1.54184 Å).
Lines closer than 0.1° are merged.

Main lines, low angle first (5° ≤ 2θ ≤ 70°):
Position (°2θ), I/Imax
23.4, 10
33.2, 20
33.4, 100
47.8, 14
48.0, 7
54.0, 3
59.4, 14
59.6, 7
59.7, 22
69.7, 2

```
data_La6Zn5Sb
_space_group_name_H-M_alt 'P 1'
_space_group_IT_number 1
_cell_length_a 8.5253
_cell_length_b 8.5253
_cell_length_c 7.5865
_cell_angle_alpha 90.00
_cell_angle_beta 90.00
_cell_angle_gamma 143.36
loop_
_space_group_symop_operation_xyz
'x,y,z'
loop_
_atom_site_label
_atom_site_type_symbol
_atom_site_fract_x
_atom_site_fract_y
_atom_site_fract_z
La1 La 0.0000 0.0000 0.2484
La2 La 0.0000 0.0000 0.7516
La3 La 0.3318 0.6682 0.2419
La4 La 0.3318 0.6682 0.7581
La5 La 0.6682 0.3318 0.2419
La6 La 0.6682 0.3318 0.7581
Zn1 Zn 0.1637 0.8363 0.0000
Zn2 Zn 0.1778 0.8222 0.5000
Zn3 Zn 0.5000 0.5000 0.0000
Zn4 Zn 0.8222 0.1778 0.5000
Zn5 Zn 0.8363 0.1637 0.0000
Sb1 Sb 0.5000 0.5000 0.5000
```

=====

Record 5
Structure and computed X-ray diffraction stick pattern of LaZr3Sb2 (a PBE-relaxed structure; Cu Kα, 1.54184 Å).
Lines closer than 0.1° are merged.

Main lines, low angle first (5° ≤ 2θ ≤ 70°):
Position (°2θ), I/Imax
29.1, 31
31.6, 100
33.5, 84
37.4, 20
38.2, 24
39.0, 17
39.2, 21
39.8, 46
43.1, 39
60.1, 27

```
data_LaZr3Sb2
_space_group_name_H-M_alt 'P 1'
_space_group_IT_number 1
_cell_length_a 9.5389
_cell_length_b 9.5389
_cell_length_c 9.2547
_cell_angle_alpha 116.52
_cell_angle_beta 116.52
_cell_angle_gamma 25.40
loop_
_space_group_symop_operation_xyz
'x,y,z'
loop_
_atom_site_label
_atom_site_type_symbol
_atom_site_fract_x
_atom_site_fract_y
_atom_site_fract_z
La1 La 0.1346 0.1346 0.0639
La2 La 0.8654 0.8654 0.9361
Zr1 Zr 0.0534 0.0534 0.4159
Zr2 Zr 0.3147 0.3147 0.5386
Zr3 Zr 0.4083 0.4083 0.3105
Zr4 Zr 0.5917 0.5917 0.6895
Zr5 Zr 0.6853 0.6853 0.4614
Zr6 Zr 0.9466 0.9466 0.5841
Sb1 Sb 0.2159 0.2159 0.7307
Sb2 Sb 0.4776 0.4776 0.8264
Sb3 Sb 0.5224 0.5224 0.1736
Sb4 Sb 0.7841 0.7841 0.2693
```

=====

Record 6
Structure and computed X-ray diffraction stick pattern of LaZrSb2 (a PBE-relaxed structure; Cu Kα, 1.54184 Å).
Lines closer than 0.1° are merged.

Main lines, low angle first (5° ≤ 2θ ≤ 70°):
Position (°2θ), I/Imax
24.4, 10
25.3, 72
31.2, 100
36.8, 80
42.3, 69
48.0, 13
50.0, 11
53.5, 21
57.3, 22
65.9, 29

```
data_LaZrSb2
_space_group_name_H-M_alt 'P 1'
_space_group_IT_number 1
_cell_length_a 7.9748
_cell_length_b 7.9748
_cell_length_c 7.9748
_cell_angle_alpha 31.05
_cell_angle_beta 31.05
_cell_angle_gamma 31.05
loop_
_space_group_symop_operation_xyz
'x,y,z'
loop_
_atom_site_label
_atom_site_type_symbol
_atom_site_fract_x
_atom_site_fract_y
_atom_site_fract_z
La1 La 0.0000 0.0000 0.0000
Zr1 Zr 0.1728 0.1728 0.1728
Sb1 Sb 0.4287 0.4287 0.4287
Sb2 Sb 0.5788 0.5788 0.5788
```

=====

Record 7
Structure and computed X-ray diffraction stick pattern of La8Sc (a PBE-relaxed structure; Cu Kα, 1.54184 Å).
Lines closer than 0.1° are merged.

Main lines, low angle first (5° ≤ 2θ ≤ 70°):
Position (°2θ), I/Imax
29.1, 61
31.5, 100
41.6, 22
48.5, 8
53.1, 43
57.6, 18
60.4, 7
65.8, 11
68.4, 9
69.7, 9

```
data_La8Sc
_space_group_name_H-M_alt 'P 1'
_space_group_IT_number 1
_cell_length_a 9.3916
_cell_length_b 9.3916
_cell_length_c 9.3916
_cell_angle_alpha 92.29
_cell_angle_beta 92.29
_cell_angle_gamma 156.94
loop_
_space_group_symop_operation_xyz
'x,y,z'
loop_
_atom_site_label
_atom_site_type_symbol
_atom_site_fract_x
_atom_site_fract_y
_atom_site_fract_z
La1 La 0.0000 0.3310 0.3310
La2 La 0.0000 0.6690 0.6690
La3 La 0.3310 0.0000 0.3310
La4 La 0.3428 0.3428 0.6855
La5 La 0.3428 0.6572 0.0000
La6 La 0.6572 0.3428 0.0000
La7 La 0.6572 0.6572 0.3145
La8 La 0.6690 0.0000 0.6690
Sc1 Sc 0.0000 0.0000 0.0000
```

=====

Record 8
Structure and computed X-ray diffraction stick pattern of La3Sc5 (a PBE-relaxed structure; Cu Kα, 1.54184 Å).
Lines closer than 0.1° are merged.

Main lines, low angle first (5° ≤ 2θ ≤ 70°):
Position (°2θ), I/Imax
19.6, 15
25.0, 17
32.0, 100
35.6, 18
35.8, 20
39.9, 14
51.4, 13
54.6, 11
61.7, 14
61.9, 14

```
data_La3Sc5
_space_group_name_H-M_alt 'P 1'
_space_group_IT_number 1
_cell_length_a 6.7756
_cell_length_b 6.7756
_cell_length_c 5.0203
_cell_angle_alpha 90.00
_cell_angle_beta 90.00
_cell_angle_gamma 96.23
loop_
_space_group_symop_operation_xyz
'x,y,z'
loop_
_atom_site_label
_atom_site_type_symbol
_atom_site_fract_x
_atom_site_fract_y
_atom_site_fract_z
La1 La 0.0000 0.0000 0.0000
La2 La 0.2593 0.7407 0.5000
La3 La 0.7407 0.2593 0.5000
Sc1 Sc 0.0000 0.5000 0.0000
Sc2 Sc 0.2530 0.2530 0.5000
Sc3 Sc 0.5000 0.0000 0.0000
Sc4 Sc 0.5000 0.5000 0.0000
Sc5 Sc 0.7470 0.7470 0.5000
```

=====

> Number 4 is which compound?

La6Zn5Sb

=====

Please write out number 3 again, unchanged.
Structure and computed X-ray diffraction stick pattern of La2ZnSb4 (a PBE-relaxed structure; Cu Kα, 1.54184 Å).
Lines closer than 0.1° are merged.

Main lines, low angle first (5° ≤ 2θ ≤ 70°):
Position (°2θ), I/Imax
26.3, 18
26.6, 22
29.6, 31
33.2, 28
33.4, 100
40.4, 46
49.2, 20
58.5, 15
65.5, 17
69.1, 24

```
data_La2ZnSb4
_space_group_name_H-M_alt 'P 1'
_space_group_IT_number 1
_cell_length_a 4.4622
_cell_length_b 4.4622
_cell_length_c 10.1697
_cell_angle_alpha 90.00
_cell_angle_beta 90.00
_cell_angle_gamma 90.00
loop_
_space_group_symop_operation_xyz
'x,y,z'
loop_
_atom_site_label
_atom_site_type_symbol
_atom_site_fract_x
_atom_site_fract_y
_atom_site_fract_z
La1 La 0.0000 0.5000 0.2476
La2 La 0.5000 0.0000 0.7524
Zn1 Zn 0.5000 0.5000 0.0000
Sb1 Sb 0.0000 0.0000 0.5000
Sb2 Sb 0.0000 0.5000 0.8491
Sb3 Sb 0.5000 0.0000 0.1509
Sb4 Sb 0.5000 0.5000 0.5000
```

=====

> What is the formula in the fifth record?

LaZr3Sb2